(1)
Simulated powder XRD pattern
Compound: NbSi4O13
Radiation: CuKα
Structure: a structure optimized by DFT (GGA-PBE)
No peak broadening, texture or thermal motion is included.

Structure:
Cell lengths 7.6294, 9.1145, 9.9239 Å; angles 90.00, 108.72, 90.00 degrees
Sites, in units of the cell vectors:
Nb1 0.0803 0.2500 0.3952
Nb2 0.9197 0.7500 0.6048
Si1 0.2734 0.0028 0.6892
Si2 0.2734 0.4972 0.6892
Si3 0.4205 0.2500 0.9213
Si4 0.4364 0.2500 0.2445
Si5 0.5636 0.7500 0.7555
Si6 0.5795 0.7500 0.0787
Si7 0.7266 0.5028 0.3108
Si8 0.7266 0.9972 0.3108
O1 0.0000 0.0000 0.0000
O2 0.0000 0.5000 0.0000
O3 0.0122 0.2500 0.5829
O4 0.0957 0.5977 0.6897
O5 0.0957 0.9023 0.6897
O6 0.2264 0.0993 0.5427
O7 0.2264 0.4007 0.5427
O8 0.2474 0.2500 0.2873
O9 0.3323 0.1044 0.8309
O10 0.3323 0.3956 0.8309
O11 0.3508 0.7500 0.0257
O12 0.3765 0.2500 0.0711
O13 0.4458 0.6034 0.6907
O14 0.4458 0.8966 0.6907
O15 0.5542 0.1034 0.3093
O16 0.5542 0.3966 0.3093
O17 0.6235 0.7500 0.9289
O18 0.6492 0.2500 0.9743
O19 0.6677 0.6044 0.1691
O20 0.6677 0.8956 0.1691
O21 0.7526 0.7500 0.7127
O22 0.7736 0.5993 0.4573
O23 0.7736 0.9007 0.4573
O24 0.9043 0.0977 0.3103
O25 0.9043 0.4023 0.3103
O26 0.9878 0.7500 0.4171

Most intense lines, 10 to 90 degrees two-theta, by angle:
hkl 1 0 -1, d = 6.897 Å, 12.8 deg, intensity 100.0; hkl 0 1 1, d = 6.543 Å, 13.5 deg, intensity 52.8; hkl 1 1 0, d = 5.662 Å, 15.7 deg, intensity 46.3; hkl 1 1 -1, d = 5.500 Å, 16.1 deg, intensity 14.0; hkl 0 2 0, d = 4.557 Å, 19.5 deg, intensity 12.5; hkl 0 1 2, d = 4.176 Å, 21.3 deg, intensity 36.3; hkl 2 1 -1, d = 3.512 Å, 25.4 deg, intensity 28.4; hkl 1 2 1, d = 3.369 Å, 26.5 deg, intensity 76.3; hkl 1 2 -2, d = 3.269 Å, 27.3 deg, intensity 12.9; hkl 1 1 -3, d = 3.090 Å, 28.9 deg, intensity 14.0

***

(2)
Simulated powder XRD pattern
Compound: SrNbSi2O8
Radiation: CuKα
Structure: a structure optimized by DFT (GGA-PBE)
No peak broadening, texture or thermal motion is included.

Structure:
Cell lengths 5.3764, 5.3764, 6.9949 Å; angles 90.00, 90.00, 120.00 degrees
Sites, in units of the cell vectors:
Sr1 0.0000 0.0000 0.0000
Nb1 0.0000 0.0000 0.5000
Si1 0.3333 0.6667 0.2473
Si2 0.6667 0.3333 0.7527
O1 0.1676 0.3352 0.3241
O2 0.1676 0.8324 0.3241
O3 0.3333 0.6667 0.0133
O4 0.3352 0.1676 0.6759
O5 0.6648 0.8324 0.3241
O6 0.6667 0.3333 0.9867
O7 0.8324 0.1676 0.6759
O8 0.8324 0.6648 0.6759

Most intense lines, 10 to 90 degrees two-theta, by angle:
hkl 1 0 0, d = 4.656 Å, 19.1 deg, intensity 100.0; hkl 1 0 1, d = 3.876 Å, 22.9 deg, intensity 44.3; hkl 1 0 2, d = 2.796 Å, 32.0 deg, intensity 81.6; hkl 1 1 0, d = 2.688 Å, 33.3 deg, intensity 61.0; hkl 1 1 2, d = 2.131 Å, 42.4 deg, intensity 33.3; hkl 2 0 2, d = 1.938 Å, 46.9 deg, intensity 43.4; hkl 2 1 0, d = 1.760 Å, 52.0 deg, intensity 14.3; hkl 2 1 2, d = 1.572 Å, 58.7 deg, intensity 28.8; hkl 1 1 4, d = 1.466 Å, 63.5 deg, intensity 23.2; hkl 2 2 0, d = 1.344 Å, 70.0 deg, intensity 13.5

***

(3)
Simulated powder XRD pattern
Compound: Nb2ZnSiO
Radiation: CuKα
Structure: a structure optimized by DFT (GGA-PBE)
No peak broadening, texture or thermal motion is included.

Structure:
Cell lengths 4.8322, 4.8322, 4.0581 Å; angles 90.00, 90.00, 90.00 degrees
Sites, in units of the cell vectors:
Nb1 0.0000 0.5000 0.0000
Nb2 0.5000 0.0000 0.0000
Zn1 0.0000 0.0000 0.0000
Si1 0.0000 0.0000 0.5000
O1 0.5000 0.5000 0.5000

Most intense lines, 10 to 90 degrees two-theta, by angle:
hkl 1 0 0, d = 4.832 Å, 18.4 deg, intensity 44.7; hkl 0 0 1, d = 4.058 Å, 21.9 deg, intensity 97.9; hkl 1 1 1, d = 2.614 Å, 34.3 deg, intensity 72.1; hkl 2 0 0, d = 2.416 Å, 37.2 deg, intensity 100.0; hkl 2 0 1, d = 2.076 Å, 43.6 deg, intensity 64.1; hkl 0 0 2, d = 2.029 Å, 44.7 deg, intensity 29.2; hkl 2 2 0, d = 1.708 Å, 53.6 deg, intensity 33.2; hkl 2 2 1, d = 1.575 Å, 58.6 deg, intensity 26.3; hkl 2 0 2, d = 1.554 Å, 59.5 deg, intensity 47.9; hkl 2 2 2, d = 1.307 Å, 72.3 deg, intensity 26.0

***

(4)
Simulated powder XRD pattern
Compound: SmNb3O6
Radiation: CuKα
Structure: a structure optimized by DFT (GGA-PBE)
No peak broadening, texture or thermal motion is included.

Structure:
Cell lengths 8.9580, 3.1014, 9.3402 Å; angles 90.00, 108.57, 90.00 degrees
Sites, in units of the cell vectors:
Sm1 0.1099 0.2500 0.3662
Sm2 0.8901 0.7500 0.6338
Nb1 0.1381 0.2500 0.0298
Nb2 0.2939 0.7500 0.7307
Nb3 0.4825 0.7500 0.3601
Nb4 0.5175 0.2500 0.6399
Nb5 0.7061 0.2500 0.2693
Nb6 0.8619 0.7500 0.9702
O1 0.0727 0.7500 0.1715
O2 0.1084 0.2500 0.6286
O3 0.2231 0.7500 0.9238
O4 0.3196 0.7500 0.5033
O5 0.3217 0.2500 0.2475
O6 0.4332 0.2500 0.8284
O7 0.5668 0.7500 0.1716
O8 0.6783 0.7500 0.7525
O9 0.6804 0.2500 0.4967
O10 0.7769 0.2500 0.0762
O11 0.8916 0.7500 0.3714
O12 0.9273 0.2500 0.8285

Most intense lines, 10 to 90 degrees two-theta, by angle:
hkl 2 0 1, d = 3.426 Å, 26.0 deg, intensity 73.3; hkl 1 0 -3, d = 3.112 Å, 28.7 deg, intensity 48.2; hkl 0 0 3, d = 2.951 Å, 30.3 deg, intensity 71.8; hkl 3 0 -2, d = 2.829 Å, 31.6 deg, intensity 71.6; hkl 1 1 -2, d = 2.566 Å, 35.0 deg, intensity 89.9; hkl 2 1 0, d = 2.504 Å, 35.9 deg, intensity 100.0; hkl 2 1 1, d = 2.299 Å, 39.2 deg, intensity 49.7; hkl 3 1 0, d = 2.091 Å, 43.3 deg, intensity 41.6; hkl 1 1 3, d = 1.969 Å, 46.1 deg, intensity 45.6; hkl 3 1 -3, d = 1.934 Å, 47.0 deg, intensity 42.0